Computed X-ray diffraction stick pattern
Compound: Zn9CuIr2
Radiation: Cu Kα, 1.54184 Å
Structure: the GGA-PBE geometry in Alexandria

Crystal structure
```
data_Zn9CuIr2
_chemical_formula_sum 'Zn9 Cu1 Ir2'
_symmetry_space_group_name_H-M 'P 1'
_symmetry_Int_Tables_number 1
_cell_length_a 4.8296
_cell_length_b 6.0050
_cell_length_c 6.1030
_cell_angle_alpha 86.00
_cell_angle_beta 83.92
_cell_angle_gamma 83.62
loop_
_symmetry_equiv_pos_as_xyz
'x,y,z'
loop_
_atom_site_label
_atom_site_fract_x
_atom_site_fract_y
_atom_site_fract_z
Zn1 0.0000 0.0000 0.0000
Zn2 0.0136 0.3377 0.6745
Zn3 0.2491 0.9146 0.5790
Zn4 0.2600 0.2662 0.2362
Zn5 0.4897 0.8059 0.1808
Zn6 0.5103 0.1941 0.8192
Zn7 0.7400 0.7338 0.7638
Zn8 0.7509 0.0854 0.4210
Zn9 0.9864 0.6623 0.3255
Cu1 0.5000 0.5000 0.5000
Ir1 0.2431 0.6112 0.9018
Ir2 0.7569 0.3888 0.0982
```

Peak list (10 most intense, 2θ = 10–90°, low angle first)
h k l, two_theta, d [Å], I/Imax
0 0 1, 14.62, 6.058, 37
0 1 0, 14.87, 5.958, 40
0 1 1, 20.28, 4.378, 27
1 1 -2, 39.68, 2.271, 98
1 -2 1, 40.14, 2.246, 97
2 1 1, 40.24, 2.241, 100
0 2 2, 41.24, 2.189, 93
-2 1 1, 45.91, 1.977, 68
1 0 3, 47.09, 1.930, 61
1 3 0, 47.72, 1.906, 53